Starting from a cell relaxed with GGA-PBE, the PXRD pattern of V4Ga5 was calculated for CuKα.
Kinematic intensities with the Lorentz-polarization factor, no thermal factor.

Cell and atoms:
```
V4Ga5
1.0
-3.789 3.789 2.428
3.789 -3.789 2.428
3.789 3.789 -2.428
V Ga
4 5
Direct
0.044 0.355 0.400
0.355 0.956 0.311
0.645 0.044 0.689
0.956 0.645 0.600
0.000 0.000 0.000
0.289 0.614 0.903
0.386 0.289 0.675
0.614 0.711 0.325
0.711 0.386 0.097
```

The 10 most intense peaks (2θ = 10–80°), in order of falling intensity:
40.25°, rel. 100
37.03°, rel. 61
47.12°, rel. 54
37.54°, rel. 42
53.75°, rel. 28
32.21°, rel. 19
68.91°, rel. 19
79.42°, rel. 16
51.15°, rel. 13
73.91°, rel. 13

---

Starting from a cell relaxed with GGA-PBE, the PXRD pattern of Os4Pb was calculated for CuKα.
Kinematic intensities with the Lorentz-polarization factor, no thermal factor.

Cell and atoms:
```
Os4Pb
1.0
5.911 0.000 0.000
0.000 5.911 0.000
0.000 0.000 5.911
Os Pb
8 2
Direct
0.250 0.250 0.250
0.250 0.250 0.750
0.250 0.750 0.250
0.250 0.750 0.750
0.750 0.250 0.250
0.750 0.250 0.750
0.750 0.750 0.250
0.750 0.750 0.750
0.000 0.000 0.000
0.500 0.500 0.500
```

The 10 most intense peaks (2θ = 10–80°), in order of falling intensity:
43.30°, rel. 100
30.24°, rel. 42
79.43°, rel. 35
21.26°, rel. 28
62.90°, rel. 17
71.37°, rel. 15
37.26°, rel. 14
53.72°, rel. 11
58.42°, rel. 8
48.72°, rel. 7

---

Starting from a cell relaxed with GGA-PBE, the PXRD pattern of LiThS3 was calculated for CuKα.
Kinematic intensities with the Lorentz-polarization factor, no thermal factor.

Cell and atoms:
```
LiThS3
1.0
8.765 0.000 0.000
0.000 6.391 0.000
-3.733 0.000 9.409
Li Th S
4 4 12
Direct
0.059 0.236 0.497
0.059 0.264 0.997
0.941 0.736 0.003
0.941 0.764 0.503
0.243 0.726 0.342
0.243 0.774 0.842
0.757 0.226 0.158
0.757 0.274 0.658
0.037 0.030 0.183
0.037 0.470 0.683
0.234 0.577 0.082
0.234 0.923 0.582
0.421 0.120 0.011
0.421 0.380 0.511
0.579 0.620 0.489
0.579 0.880 0.989
0.766 0.077 0.418
0.766 0.423 0.918
0.963 0.530 0.317
0.963 0.970 0.817
```

The 10 most intense peaks (2θ = 10–80°), in order of falling intensity:
17.64°, rel. 100
17.97°, rel. 50
23.48°, rel. 40
21.82°, rel. 26
35.93°, rel. 25
26.96°, rel. 21
37.90°, rel. 17
35.71°, rel. 17
33.40°, rel. 16
43.78°, rel. 16

---

Starting from a cell relaxed with GGA-PBE, the PXRD pattern of La5Tb8Nd was calculated for CuKα.
Kinematic intensities with the Lorentz-polarization factor, no thermal factor.

Cell and atoms:
```
La5Tb8Nd
1.0
8.835 -1.790 0.000
8.835 1.790 0.000
-8.050 0.000 15.055
La Tb Nd
5 8 1
Direct
0.000 0.000 0.000
0.288 0.288 0.356
0.356 0.356 0.061
0.644 0.644 0.939
0.712 0.712 0.644
0.076 0.076 0.722
0.146 0.146 0.437
0.216 0.216 0.146
0.420 0.420 0.777
0.580 0.580 0.223
0.784 0.784 0.854
0.854 0.854 0.563
0.924 0.924 0.278
0.500 0.500 0.500
```

The 10 most intense peaks (2θ = 10–80°), in order of falling intensity:
30.83°, rel. 100
30.67°, rel. 53
32.05°, rel. 46
32.47°, rel. 44
29.60°, rel. 39
47.25°, rel. 19
51.02°, rel. 16
40.91°, rel. 16
60.71°, rel. 15
61.53°, rel. 15

---

Starting from a cell relaxed with GGA-PBE, the PXRD pattern of BaBi4Cl2O6 was calculated for CuKα.
Kinematic intensities with the Lorentz-polarization factor, no thermal factor.

Cell and atoms:
```
BaBi4Cl2O6
1.0
-2.000 2.000 16.515
2.000 -2.000 16.515
2.000 2.000 -16.515
Ba Bi Cl O
1 4 2 6
Direct
0.000 0.000 0.000
0.287 0.287 0.000
0.414 0.414 0.000
0.586 0.586 0.000
0.713 0.713 0.000
0.170 0.170 0.000
0.830 0.830 0.000
0.057 0.557 0.500
0.250 0.750 0.500
0.443 0.943 0.500
0.557 0.057 0.500
0.750 0.250 0.500
0.943 0.443 0.500
```

The 10 most intense peaks (2θ = 10–80°), in order of falling intensity:
29.27°, rel. 100
31.64°, rel. 43
54.90°, rel. 35
42.07°, rel. 28
23.67°, rel. 24
45.35°, rel. 24
52.35°, rel. 20
22.39°, rel. 18
71.73°, rel. 16
16.10°, rel. 15

---

Starting from a cell relaxed with GGA-PBE, the PXRD pattern of DyTm2Zr3N6 was calculated for CuKα.
Kinematic intensities with the Lorentz-polarization factor, no thermal factor.

Cell and atoms:
```
DyTm2Zr3N6
1.0
2.881 -4.981 0.000
2.881 4.981 0.000
-1.925 0.000 5.473
Dy Tm Zr N
1 2 3 6
Direct
0.000 0.000 0.000
0.333 0.667 0.000
0.667 0.333 0.000
0.167 0.833 0.500
0.500 0.500 0.500
0.833 0.167 0.500
0.088 0.424 0.262
0.249 0.249 0.737
0.424 0.088 0.262
0.576 0.912 0.738
0.751 0.751 0.263
0.912 0.576 0.738
```

The 10 most intense peaks (2θ = 10–80°), in order of falling intensity:
38.19°, rel. 100
32.98°, rel. 98
54.95°, rel. 34
32.73°, rel. 33
55.28°, rel. 33
65.75°, rel. 28
69.18°, rel. 16
16.20°, rel. 15
65.45°, rel. 14
31.56°, rel. 11

---

Starting from a cell relaxed with GGA-PBE, the PXRD pattern of Ba4SiH was calculated for CuKα.
Kinematic intensities with the Lorentz-polarization factor, no thermal factor.

Cell and atoms:
```
Ba4SiH
1.0
9.337 0.000 0.000
0.000 7.991 0.000
0.000 0.000 7.416
Ba Si H
8 2 2
Direct
0.000 0.154 0.000
0.000 0.830 0.496
0.231 0.682 0.005
0.269 0.318 0.505
0.500 0.170 0.996
0.500 0.846 0.500
0.731 0.318 0.505
0.769 0.682 0.005
0.000 0.484 0.732
0.500 0.516 0.232
0.000 0.832 0.141
0.500 0.168 0.641
```

The 10 most intense peaks (2θ = 10–80°), in order of falling intensity:
25.15°, rel. 100
25.32°, rel. 45
24.00°, rel. 33
42.92°, rel. 24
38.93°, rel. 22
46.25°, rel. 21
32.82°, rel. 18
22.05°, rel. 15
46.70°, rel. 15
32.96°, rel. 12

---

Starting from a cell relaxed with GGA-PBE, the PXRD pattern of Ac2BeAs4Pd3 was calculated for CuKα.
Kinematic intensities with the Lorentz-polarization factor, no thermal factor.

Cell and atoms:
```
Ac2BeAs4Pd3
1.0
4.515 0.000 0.000
0.000 4.515 0.000
0.000 0.000 10.030
Ac Be As Pd
2 1 4 3
Direct
0.000 0.500 0.249
0.500 0.000 0.751
0.500 0.500 0.000
0.000 0.000 0.500
0.000 0.500 0.876
0.500 0.000 0.124
0.500 0.500 0.500
0.000 0.000 0.000
0.000 0.500 0.621
0.500 0.000 0.379
```

The 10 most intense peaks (2θ = 10–80°), in order of falling intensity:
33.31°, rel. 100
39.94°, rel. 35
52.98°, rel. 28
27.95°, rel. 23
68.33°, rel. 19
49.74°, rel. 15
65.60°, rel. 13
21.59°, rel. 12
57.76°, rel. 12
62.74°, rel. 9